This entry pairs a crystal structure of Sr3FeMoO7 with its simulated powder diffraction line list. Radiation: Cu Kα (λ = 1.5418 Å). Structure: the PBE+U geometry in the Materials Project.
No peak broadening, texture or thermal motion is included.

Crystal structure
Lattice parameters (Å, degrees): 10.740 10.740 10.740 158.34 158.34 30.83
Sites, in units of the cell vectors:
Sr1 0.000 0.000 0.000
Sr2 0.167 0.167 0.000
Sr3 0.365 0.365 0.000
Fe1 0.576 0.576 0.000
Mo1 0.776 0.776 0.000
O1 0.086 0.586 0.500
O2 0.279 0.779 0.500
O3 0.480 0.480 0.000
O4 0.586 0.086 0.500
O5 0.686 0.686 0.000
O6 0.779 0.279 0.500
O7 0.872 0.872 0.000

Most intense lines, 2θ = 10–80°, in order of rising 2θ:
| d/Å | I (rel.) |
| --- | --- |
| 2.891 | 100 |
| 2.854 | 69 |
| 2.200 | 13 |
| 2.071 | 13 |
| 2.018 | 43 |
| 1.676 | 14 |
| 1.655 | 38 |
| 1.445 | 15 |
| 1.427 | 13 |
| 1.276 | 11 |

This entry pairs a crystal structure of Sr5FeMo4O15 with its simulated powder diffraction line list. Radiation: Cu Kα (λ = 1.5418 Å). Structure: the PBE+U geometry in the Materials Project.
No peak broadening, texture or thermal motion is included.

Crystal structure
Lattice parameters (Å, degrees): 9.071 9.071 7.005 104.95 104.95 37.04
Sites, in units of the cell vectors:
Sr1 0.000 0.000 0.000
Sr2 0.192 0.192 0.785
Sr3 0.406 0.406 0.592
Sr4 0.594 0.594 0.408
Sr5 0.808 0.808 0.215
Fe1 0.000 0.000 0.500
Mo1 0.199 0.199 0.298
Mo2 0.400 0.400 0.100
Mo3 0.600 0.600 0.900
Mo4 0.801 0.801 0.702
O1 0.000 0.500 0.500
O2 0.098 0.098 0.404
O3 0.098 0.605 0.899
O4 0.199 0.702 0.297
O5 0.298 0.801 0.703
O6 0.303 0.303 0.196
O7 0.395 0.902 0.101
O8 0.500 0.000 0.500
O9 0.500 0.500 0.000
O10 0.605 0.098 0.899
O11 0.697 0.697 0.804
O12 0.702 0.199 0.297
O13 0.801 0.298 0.703
O14 0.902 0.395 0.101
O15 0.902 0.902 0.596

Most intense lines, 2θ = 10–80°, in order of rising 2θ:
| d/Å | I (rel.) |
| --- | --- |
| 2.881 | 26 |
| 2.868 | 100 |
| 2.861 | 25 |
| 2.030 | 35 |
| 2.026 | 17 |
| 1.661 | 20 |
| 1.657 | 14 |
| 1.653 | 23 |
| 1.435 | 10 |
| 1.433 | 10 |